Diffraction record for NbTeO5. The powder X-ray diffraction pattern is computed, not measured: it uses a cell relaxed with GGA-PBE and copper Kα.

Atomic structure:
abc: 4.951 5.606 7.435
angles: 69.83 73.17 76.88
Space group P1 (No. 1)
Inequivalent atoms, fractional coordinates:
Nb: 0.000 0.000 0.000 x1
Nb: 0.013 0.010 0.501 x1
Te: 0.499 0.505 0.282 x1
Te: 0.543 0.480 0.786 x1
O: 0.065 0.908 0.261 x1
O: 0.261 0.252 0.895 x1
O: 0.261 0.738 0.898 x1
O: 0.356 0.101 0.474 x1
O: 0.409 0.601 0.544 x1
O: 0.671 0.332 0.036 x1
O: 0.683 0.800 0.113 x1
O: 0.822 0.709 0.682 x1
O: 0.827 0.181 0.737 x1
O: 0.858 0.341 0.348 x1

Principal peaks in the range 2θ from 10° to 80°, sorted by position:
h k l  d [Å]  intensity
1 1 0  3.761  100.0
0 1 2  3.338  70.2
1 -1 0  3.264  61.8
1 0 2  3.113  50.6
0 2 0  2.605  22.9
0 1 -2  2.520  20.8
-1 2 2  1.946  19.5
2 2 0  1.880  20.1